(1)
Computed powder diffractogram
Compound: Mn3Co2SnP6O24
Radiation: Cu Ka
Structure: a DFT-relaxed cell (GGA+U, the Materials Project)
Lines closer than 0.1° are merged.

The 10 most intense peaks (10° ≤ 2θ ≤ 90°), in order of rising 2θ:
20.56°, d 4.321, rel. 100; 20.77°, d 4.277, rel. 19; 24.25°, d 3.670, rel. 87; 33.08°, d 2.708, rel. 72; 36.00°, d 2.495, rel. 44; 47.43°, d 1.917, rel. 32; 49.69°, d 1.835, rel. 29; 56.35°, d 1.633, rel. 30; 56.69°, d 1.624, rel. 16; 62.88°, d 1.478, rel. 23

Structure:
abc: 8.556 8.556 8.556
angles: 60.66 60.66 60.66
Atoms (fractional coordinates):
Mn  0.000  0.000  0.000
Mn  0.212  0.212  0.212
Mn  0.499  0.499  0.499
Co  0.356  0.356  0.356
Co  0.860  0.860  0.860
Sn  0.712  0.712  0.712
P  0.110  0.812  0.397
P  0.306  0.604  0.902
P  0.397  0.110  0.812
P  0.604  0.902  0.306
P  0.812  0.397  0.110
P  0.902  0.306  0.604
O  0.043  0.846  0.243
O  0.100  0.292  0.442
O  0.110  0.766  0.918
O  0.175  0.968  0.360
O  0.243  0.043  0.846
O  0.269  0.614  0.412
O  0.292  0.442  0.100
O  0.345  0.546  0.741
O  0.360  0.175  0.968
O  0.412  0.269  0.614
O  0.442  0.100  0.292
O  0.461  0.667  0.871
O  0.546  0.741  0.345
O  0.597  0.948  0.798
O  0.614  0.412  0.269
O  0.667  0.871  0.461
O  0.741  0.345  0.546
O  0.766  0.918  0.110
O  0.798  0.597  0.948
O  0.846  0.243  0.043
O  0.871  0.461  0.667
O  0.918  0.110  0.766
O  0.948  0.798  0.597
O  0.968  0.360  0.175

---

(2)
Computed powder diffractogram
Compound: CsBiMo2O8
Radiation: Cu Ka
Structure: a DFT-relaxed cell (GGA+U, the Materials Project)
Lines closer than 0.1° are merged.

The 10 most intense peaks (10° ≤ 2θ ≤ 90°), in order of rising 2θ:
25.22°, d 3.531, rel. 98; 27.22°, d 3.276, rel. 100; 27.91°, d 3.197, rel. 61; 34.86°, d 2.573, rel. 21; 42.56°, d 2.124, rel. 18; 45.24°, d 2.005, rel. 46; 46.57°, d 1.950, rel. 20; 50.12°, d 1.820, rel. 38; 56.93°, d 1.617, rel. 14; 73.61°, d 1.287, rel. 15

Structure:
abc: 5.147 9.707 8.497
angles: 90.00 90.00 90.00
Atoms (fractional coordinates):
Cs  0.000  0.000  0.250
Cs  0.000  0.000  0.750
Bi  0.000  0.500  0.250
Bi  0.000  0.500  0.750
Mo  0.477  0.303  0.000
Mo  0.477  0.697  0.500
Mo  0.523  0.303  0.500
Mo  0.523  0.697  0.000
O  0.253  0.432  0.500
O  0.253  0.568  0.000
O  0.265  0.310  0.170
O  0.265  0.310  0.830
O  0.265  0.690  0.330
O  0.265  0.690  0.670
O  0.382  0.139  0.500
O  0.382  0.861  0.000
O  0.618  0.139  0.000
O  0.618  0.861  0.500
O  0.735  0.310  0.330
O  0.735  0.310  0.670
O  0.735  0.690  0.170
O  0.735  0.690  0.830
O  0.747  0.432  0.000
O  0.747  0.568  0.500

---

(3)
Computed powder diffractogram
Compound: MgMn8O13F3
Radiation: Cu Ka
Structure: a DFT-relaxed cell (GGA+U, the Materials Project)
Lines closer than 0.1° are merged.

The 10 most intense peaks (10° ≤ 2θ ≤ 90°), in order of rising 2θ:
22.92°, d 3.880, rel. 52; 25.73°, d 3.462, rel. 41; 27.54°, d 3.239, rel. 51; 30.77°, d 2.906, rel. 100; 32.17°, d 2.782, rel. 44; 35.43°, d 2.534, rel. 27; 36.11°, d 2.487, rel. 23; 40.78°, d 2.212, rel. 36; 42.98°, d 2.105, rel. 24; 50.48°, d 1.808, rel. 32

Structure:
abc: 5.785 6.558 7.291
angles: 92.47 96.76 92.61
Atoms (fractional coordinates):
Mg  0.000  0.000  0.000
Mn  0.029  0.731  0.682
Mn  0.246  0.504  0.002
Mn  0.425  0.031  0.479
Mn  0.460  0.524  0.475
Mn  0.486  0.016  0.990
Mn  0.743  0.741  0.235
Mn  0.744  0.284  0.763
Mn  0.923  0.301  0.290
O  0.012  0.468  0.785
O  0.217  0.315  0.441
O  0.226  0.795  0.929
O  0.256  0.214  0.033
O  0.282  0.761  0.508
O  0.493  0.082  0.740
O  0.498  0.540  0.216
O  0.520  0.954  0.245
O  0.666  0.284  0.487
O  0.712  0.809  0.986
O  0.752  0.702  0.498
O  0.753  0.213  0.028
O  0.979  0.558  0.195
F  0.486  0.505  0.744
F  0.965  0.026  0.718
F  0.985  0.981  0.278

---

(4)
Computed powder diffractogram
Compound: CaMg6CrO8
Radiation: Cu Ka
Structure: a DFT-relaxed cell (GGA+U, the Materials Project)
Lines closer than 0.1° are merged.

The 10 most intense peaks (10° ≤ 2θ ≤ 90°), in order of rising 2θ:
20.07°, d 4.424, rel. 10; 28.93°, d 3.087, rel. 8; 35.46°, d 2.531, rel. 29; 40.79°, d 2.212, rel. 100; 41.94°, d 2.154, rel. 45; 59.06°, d 1.564, rel. 29; 59.94°, d 1.543, rel. 53; 70.81°, d 1.331, rel. 10; 75.05°, d 1.266, rel. 24; 88.38°, d 1.106, rel. 8

Structure:
abc: 4.424 4.424 8.616
angles: 90.00 90.00 90.00
Atoms (fractional coordinates):
Ca  0.000  0.000  0.000
Mg  0.000  0.500  0.257
Mg  0.000  0.500  0.743
Mg  0.500  0.000  0.257
Mg  0.500  0.000  0.743
Mg  0.500  0.500  0.000
Mg  0.500  0.500  0.500
Cr  0.000  0.000  0.500
O  0.000  0.000  0.263
O  0.000  0.000  0.737
O  0.000  0.500  0.000
O  0.000  0.500  0.500
O  0.500  0.000  0.000
O  0.500  0.000  0.500
O  0.500  0.500  0.250
O  0.500  0.500  0.750

---

(5)
Computed powder diffractogram
Compound: V25O32
Radiation: Cu Ka
Structure: a DFT-relaxed cell (GGA+U, the Materials Project)
Lines closer than 0.1° are merged.

The 10 most intense peaks (10° ≤ 2θ ≤ 90°), in order of rising 2θ:
24.08°, d 3.696, rel. 11; 28.18°, d 3.166, rel. 21; 35.85°, d 2.505, rel. 41; 36.36°, d 2.471, rel. 13; 41.63°, d 2.170, rel. 52; 41.87°, d 2.158, rel. 100; 60.13°, d 1.539, rel. 36; 60.42°, d 1.532, rel. 18; 60.92°, d 1.521, rel. 50; 76.05°, d 1.252, rel. 12

Structure:
abc: 9.617 9.617 8.679
angles: 116.17 116.17 79.17
Atoms (fractional coordinates):
V  0.000  0.000  0.000
V  0.002  0.230  0.358
V  0.125  0.377  0.125
V  0.242  0.230  0.747
V  0.244  0.001  0.865
V  0.244  0.756  0.500
V  0.256  0.492  0.618
V  0.258  0.742  0.000
V  0.262  0.004  0.383
V  0.494  0.506  0.000
V  0.496  0.232  0.617
V  0.501  0.499  0.500
V  0.504  0.246  0.127
V  0.505  0.003  0.246
V  0.508  0.744  0.382
V  0.623  0.875  0.875
V  0.748  0.252  0.000
V  0.754  0.496  0.873
V  0.768  0.504  0.383
V  0.769  0.231  0.500
V  0.770  0.758  0.253
V  0.770  0.998  0.642
V  0.996  0.738  0.617
V  0.997  0.495  0.754
V  0.999  0.756  0.135
O  0.011  0.744  0.378
O  0.014  0.491  0.517
O  0.014  0.741  0.880
O  0.029  0.001  0.251
O  0.232  0.742  0.732
O  0.240  0.485  0.843
O  0.249  0.244  0.516
O  0.254  0.511  0.391
O  0.256  0.244  0.995
O  0.256  0.989  0.622
O  0.258  0.768  0.268
O  0.259  0.986  0.120
O  0.489  0.746  0.609
O  0.491  0.263  0.881
O  0.492  0.001  0.007
O  0.493  0.475  0.731
O  0.509  0.986  0.483
O  0.515  0.760  0.157
O  0.525  0.507  0.269
O  0.529  0.242  0.386
O  0.737  0.509  0.119
O  0.739  0.240  0.737
O  0.746  0.001  0.397
O  0.754  0.004  0.871
O  0.756  0.744  0.005
O  0.756  0.751  0.484
O  0.758  0.471  0.614
O  0.760  0.261  0.263
O  0.996  0.246  0.129
O  0.999  0.254  0.603
O  0.999  0.508  0.993
O  0.999  0.971  0.749

---

(6)
Computed powder diffractogram
Compound: Al3CrO6
Radiation: Cu Ka
Structure: a DFT-relaxed cell (GGA+U, the Materials Project)
Lines closer than 0.1° are merged.

The 10 most intense peaks (10° ≤ 2θ ≤ 90°), in order of rising 2θ:
22.07°, d 4.027, rel. 16; 24.98°, d 3.565, rel. 70; 34.35°, d 2.611, rel. 100; 36.84°, d 2.440, rel. 59; 42.30°, d 2.137, rel. 73; 51.25°, d 1.782, rel. 46; 56.11°, d 1.639, rel. 92; 64.77°, d 1.439, rel. 38; 66.36°, d 1.409, rel. 53; 74.97°, d 1.267, rel. 17

Structure:
abc: 5.247 5.247 5.247
angles: 55.42 55.42 55.42
Atoms (fractional coordinates):
Al  0.000  0.000  0.000
Al  0.203  0.203  0.203
Al  0.499  0.499  0.499
Cr  0.701  0.701  0.701
O  0.119  0.393  0.796
O  0.285  0.910  0.604
O  0.393  0.796  0.119
O  0.604  0.285  0.910
O  0.796  0.119  0.393
O  0.910  0.604  0.285